1.
La3Pm2Ho6: computed powder diffractogram (CuKα), based on a DFT-relaxed cell (GGA-PBE, Alexandria).
Neutral-atom scattering factors, no anomalous dispersion.

Principal peaks in the range 2θ = 10–90°, low angle first:
2θ = 30.57°, I 100; 2θ = 31.12°, I 32; 2θ = 35.57°, I 45; 2θ = 35.69°, I 22; 2θ = 51.60°, I 23; 2θ = 60.81°, I 19

Cell: 6.221 6.221 11.684 Å, 95.13 95.13 120.15°
Fractional positions:
La 0.000 0.000 0.000
La 0.336 0.664 0.000
La 0.664 0.336 0.000
Pm 0.166 0.834 0.500
Pm 0.834 0.166 0.500
Ho 0.085 0.418 0.253
Ho 0.250 0.250 0.747
Ho 0.418 0.085 0.253
Ho 0.582 0.915 0.747
Ho 0.750 0.750 0.253
Ho 0.915 0.582 0.747

2.
TaRhC: computed powder diffractogram (CuKα), based on a DFT-relaxed cell (GGA-PBE, Alexandria).
Neutral-atom scattering factors, no anomalous dispersion.

Principal peaks in the range 2θ = 10–90°, low angle first:
2θ = 35.47°, I 100; 2θ = 38.96°, I 25; 2θ = 42.24°, I 69; 2θ = 58.84°, I 27; 2θ = 63.65°, I 19; 2θ = 72.84°, I 24

Cell: 9.424 9.424 9.424 Å, 19.17 19.17 19.17°
Fractional positions:
Ta 0.121 0.121 0.121
Ta 0.879 0.879 0.879
Rh 0.374 0.374 0.374
Rh 0.626 0.626 0.626
C 0.258 0.258 0.258
C 0.742 0.742 0.742

3.
PrIn2Sn: computed powder diffractogram (CuKα), based on a DFT-relaxed cell (GGA-PBE, Alexandria).
Neutral-atom scattering factors, no anomalous dispersion.

Principal peaks in the range 2θ = 10–90°, low angle first:
2θ = 32.64°, I 100; 2θ = 37.01°, I 18; 2θ = 38.28°, I 32; 2θ = 54.31°, I 23; 2θ = 63.96°, I 14; 2θ = 65.67°, I 26

Cell: 4.702 4.702 4.857 Å, 90.00 90.00 90.00°
Fractional positions:
Pr 0.000 0.000 0.000
In 0.000 0.500 0.500
In 0.500 0.000 0.500
Sn 0.500 0.500 0.000

4.
MgSi23: computed powder diffractogram (CuKα), based on a DFT-relaxed cell (GGA-PBE, Alexandria).
Neutral-atom scattering factors, no anomalous dispersion.

Principal peaks in the range 2θ = 10–90°, low angle first:
2θ = 12.23°, I 30; 2θ = 19.39°, I 85; 2θ = 21.27°, I 31; 2θ = 32.74°, I 100; 2θ = 52.11°, I 59; 2θ = 55.34°, I 48

Cell: 10.234 10.234 10.234 Å, 90.00 90.00 90.00°
Fractional positions:
Mg 0.000 0.000 0.000
Mg 0.500 0.500 0.500
Si 0.000 0.117 0.308
Si 0.000 0.117 0.692
Si 0.000 0.250 0.500
Si 0.000 0.750 0.500
Si 0.000 0.883 0.308
Si 0.000 0.883 0.692
Si 0.117 0.308 0.000
Si 0.117 0.692 0.000
Si 0.183 0.183 0.183
Si 0.183 0.183 0.817
Si 0.183 0.817 0.183
Si 0.183 0.817 0.817
Si 0.192 0.383 0.500
Si 0.192 0.617 0.500
Si 0.250 0.500 0.000
Si 0.308 0.000 0.117
Si 0.308 0.000 0.883
Si 0.317 0.317 0.317
Si 0.317 0.317 0.683
Si 0.317 0.683 0.317
Si 0.317 0.683 0.683
Si 0.383 0.500 0.192
Si 0.383 0.500 0.808
Si 0.500 0.000 0.250
Si 0.500 0.000 0.750
Si 0.500 0.192 0.383
Si 0.500 0.192 0.617
Si 0.500 0.808 0.383
Si 0.500 0.808 0.617
Si 0.617 0.500 0.192
Si 0.617 0.500 0.808
Si 0.683 0.317 0.317
Si 0.683 0.317 0.683
Si 0.683 0.683 0.317
Si 0.683 0.683 0.683
Si 0.692 0.000 0.117
Si 0.692 0.000 0.883
Si 0.750 0.500 0.000
Si 0.808 0.383 0.500
Si 0.808 0.617 0.500
Si 0.817 0.183 0.183
Si 0.817 0.183 0.817
Si 0.817 0.817 0.183
Si 0.817 0.817 0.817
Si 0.883 0.308 0.000
Si 0.883 0.692 0.000

5.
Cs3NdSe3: computed powder diffractogram (CuKα), based on a DFT-relaxed cell (GGA-PBE, Alexandria).
Neutral-atom scattering factors, no anomalous dispersion.

Principal peaks in the range 2θ = 10–90°, low angle first:
2θ = 23.04°, I 92; 2θ = 25.15°, I 72; 2θ = 25.38°, I 100; 2θ = 26.09°, I 75; 2θ = 26.56°, I 99; 2θ = 30.53°, I 73

Cell: 9.088 15.438 11.714 Å, 90.00 127.51 90.00°
Fractional positions:
Cs 0.116 0.122 0.473
Cs 0.116 0.378 0.973
Cs 0.167 0.114 0.884
Cs 0.167 0.386 0.384
Cs 0.331 0.671 0.540
Cs 0.331 0.829 0.040
Cs 0.669 0.171 0.960
Cs 0.669 0.329 0.460
Cs 0.833 0.614 0.616
Cs 0.833 0.886 0.116
Cs 0.884 0.622 0.027
Cs 0.884 0.878 0.527
Nd 0.447 0.068 0.336
Nd 0.447 0.432 0.836
Nd 0.553 0.568 0.164
Nd 0.553 0.932 0.664
Se 0.175 0.196 0.195
Se 0.175 0.304 0.695
Se 0.329 0.599 0.861
Se 0.329 0.901 0.361
Se 0.358 0.542 0.275
Se 0.358 0.958 0.775
Se 0.642 0.042 0.225
Se 0.642 0.458 0.725
Se 0.671 0.099 0.639
Se 0.671 0.401 0.139
Se 0.825 0.696 0.305
Se 0.825 0.804 0.805

6.
Cs2K3Rb8: computed powder diffractogram (CuKα), based on a DFT-relaxed cell (GGA-PBE, Alexandria).
Neutral-atom scattering factors, no anomalous dispersion.

Principal peaks in the range 2θ = 10–90°, low angle first:
2θ = 18.78°, I 27; 2θ = 20.81°, I 52; 2θ = 21.40°, I 20; 2θ = 21.75°, I 48; 2θ = 24.05°, I 100; 2θ = 39.57°, I 26

Cell: 16.344 4.978 17.105 Å, 90.00 118.52 90.00°
Fractional positions:
Cs 0.236 0.000 0.470
Cs 0.764 0.000 0.530
K 0.260 0.500 0.999
K 0.500 0.000 0.000
K 0.740 0.500 0.001
Rb 0.080 0.500 0.159
Rb 0.102 0.000 0.705
Rb 0.378 0.500 0.756
Rb 0.397 0.000 0.294
Rb 0.603 0.000 0.706
Rb 0.622 0.500 0.244
Rb 0.898 0.000 0.295
Rb 0.920 0.500 0.841

7.
SrSi12Ni4: computed powder diffractogram (CuKα), based on a DFT-relaxed cell (GGA-PBE, Alexandria).
Neutral-atom scattering factors, no anomalous dispersion.

Principal peaks in the range 2θ = 10–90°, low angle first:
2θ = 31.17°, I 100; 2θ = 34.96°, I 99; 2θ = 41.64°, I 57; 2θ = 50.28°, I 45; 2θ = 55.47°, I 85; 2θ = 57.95°, I 38

Cell: 7.028 7.028 7.028 Å, 109.47 109.47 109.47°
Fractional positions:
Sr 0.000 0.000 0.000
Si 0.163 0.517 0.354
Si 0.163 0.810 0.646
Si 0.190 0.354 0.837
Si 0.354 0.163 0.517
Si 0.354 0.837 0.190
Si 0.483 0.646 0.837
Si 0.517 0.354 0.163
Si 0.646 0.163 0.810
Si 0.646 0.837 0.483
Si 0.810 0.646 0.163
Si 0.837 0.190 0.354
Si 0.837 0.483 0.646
Ni 0.000 0.000 0.500
Ni 0.000 0.500 0.000
Ni 0.500 0.000 0.000
Ni 0.500 0.500 0.500

8.
TlFe2Cu2: computed powder diffractogram (CuKα), based on a DFT-relaxed cell (GGA-PBE, Alexandria).
Neutral-atom scattering factors, no anomalous dispersion.

Principal peaks in the range 2θ = 10–90°, low angle first:
2θ = 17.33°, I 39; 2θ = 35.08°, I 43; 2θ = 36.09°, I 34; 2θ = 39.38°, I 100; 2θ = 40.30°, I 83; 2θ = 42.27°, I 52

Cell: 7.236 7.236 2.848 Å, 90.00 90.00 90.00°
Fractional positions:
Tl 0.000 0.000 0.000
Tl 0.500 0.500 0.000
Fe 0.115 0.385 0.000
Fe 0.385 0.885 0.000
Fe 0.615 0.115 0.000
Fe 0.885 0.615 0.000
Cu 0.174 0.674 0.500
Cu 0.326 0.174 0.500
Cu 0.674 0.826 0.500
Cu 0.826 0.326 0.500

9.
Ac3Tb2Mg3: computed powder diffractogram (CuKα), based on a DFT-relaxed cell (GGA-PBE, Alexandria).
Neutral-atom scattering factors, no anomalous dispersion.

Principal peaks in the range 2θ = 10–90°, low angle first:
2θ = 18.97°, I 24; 2θ = 22.73°, I 25; 2θ = 24.29°, I 29; 2θ = 30.32°, I 24; 2θ = 30.72°, I 31; 2θ = 31.22°, I 100

Cell: 3.967 5.820 23.583 Å, 90.00 90.00 90.00°
Fractional positions:
Ac 0.000 0.000 0.000
Ac 0.000 0.500 0.127
Ac 0.000 0.500 0.873
Ac 0.500 0.000 0.373
Ac 0.500 0.000 0.627
Ac 0.500 0.500 0.500
Tb 0.000 0.000 0.236
Tb 0.000 0.000 0.764
Tb 0.500 0.500 0.264
Tb 0.500 0.500 0.736
Mg 0.000 0.000 0.500
Mg 0.000 0.500 0.375
Mg 0.000 0.500 0.625
Mg 0.500 0.000 0.125
Mg 0.500 0.000 0.875
Mg 0.500 0.500 0.000

10.
Ba5NdBi5: computed powder diffractogram (CuKα), based on a DFT-relaxed cell (GGA-PBE, Alexandria).
Neutral-atom scattering factors, no anomalous dispersion.

Principal peaks in the range 2θ = 10–90°, low angle first:
2θ = 24.93°, I 91; 2θ = 25.30°, I 96; 2θ = 25.45°, I 100; 2θ = 35.92°, I 71; 2θ = 36.19°, I 76; 2θ = 43.34°, I 41

Cell: 8.922 8.922 9.691 Å, 106.51 106.51 46.19°
Fractional positions:
Ba 0.000 0.000 0.000
Ba 0.315 0.315 0.179
Ba 0.327 0.327 0.654
Ba 0.673 0.673 0.346
Ba 0.685 0.685 0.821
Nd 0.000 0.000 0.500
Bi 0.148 0.148 0.341
Bi 0.156 0.156 0.819
Bi 0.500 0.500 0.500
Bi 0.844 0.844 0.181
Bi 0.852 0.852 0.659